[1]
Computed powder diffraction line list of MgNi2N2 for a wavelength of 1.5418 Å, from a structure optimized by DFT (GGA-PBE).
Intensities are scaled so that the largest is 100.

Peak list (8 most intense, 2θ from 15° to 90°, by intensity)
| 2theta | I_rel |
| --- | --- |
| 25.6 | 100.0 |
| 43.5 | 97.6 |
| 36.5 | 59.3 |
| 70.5 | 41.7 |
| 52.5 | 37.6 |
| 34.6 | 33.5 |
| 30.9 | 28.4 |
| 64.4 | 17.6 |

Structure:
```
data_MgNi2N2
_space_group_name_H-M_alt 'P 1'
_space_group_IT_number 1
_space_group_name_Hall 'P 1'
_cell_length_a 3.486
_cell_length_b 3.486
_cell_length_c 5.183
_cell_angle_alpha 90.00
_cell_angle_beta 90.00
_cell_angle_gamma 90.00
loop_
_atom_site_label
_atom_site_type_symbol
_atom_site_fract_x
_atom_site_fract_y
_atom_site_fract_z
Mg1 Mg 0.000 0.000 0.000
Ni1 Ni 0.500 0.500 0.270
Ni2 Ni 0.500 0.500 0.730
N1 N 0.000 0.500 0.751
N2 N 0.500 0.000 0.249
```

[2]
Computed powder diffraction line list of SrHoZn17 for a wavelength of 1.5418 Å, from a structure optimized by DFT (GGA-PBE).
Intensities are scaled so that the largest is 100.

Peak list (8 most intense, 2θ from 15° to 90°, by intensity)
| 2theta | I_rel |
| --- | --- |
| 40.0 | 100.0 |
| 39.7 | 61.5 |
| 40.9 | 47.9 |
| 44.9 | 41.6 |
| 34.2 | 36.8 |
| 35.5 | 25.5 |
| 41.1 | 21.8 |
| 58.3 | 21.0 |

Structure:
```
data_SrHoZn17
_space_group_name_H-M_alt 'P 1'
_space_group_IT_number 1
_space_group_name_Hall 'P 1'
_cell_length_a 6.852
_cell_length_b 6.852
_cell_length_c 6.852
_cell_angle_alpha 82.95
_cell_angle_beta 82.95
_cell_angle_gamma 82.95
loop_
_atom_site_label
_atom_site_type_symbol
_atom_site_fract_x
_atom_site_fract_y
_atom_site_fract_z
Sr1 Sr 0.000 0.000 0.000
Ho1 Ho 0.328 0.328 0.328
Zn1 Zn 0.017 0.017 0.496
Zn2 Zn 0.017 0.496 0.017
Zn3 Zn 0.161 0.664 0.664
Zn4 Zn 0.314 0.314 0.818
Zn5 Zn 0.314 0.818 0.314
Zn6 Zn 0.369 0.661 0.959
Zn7 Zn 0.369 0.959 0.661
Zn8 Zn 0.496 0.017 0.017
Zn9 Zn 0.560 0.560 0.560
Zn10 Zn 0.661 0.369 0.959
Zn11 Zn 0.661 0.959 0.369
Zn12 Zn 0.664 0.161 0.664
Zn13 Zn 0.664 0.664 0.161
Zn14 Zn 0.759 0.759 0.759
Zn15 Zn 0.818 0.314 0.314
Zn16 Zn 0.959 0.369 0.661
Zn17 Zn 0.959 0.661 0.369
```

[3]
Computed powder diffraction line list of Rb2SnBS4 for a wavelength of 1.5418 Å, from a structure optimized by DFT (GGA-PBE).
Intensities are scaled so that the largest is 100.

Peak list (8 most intense, 2θ from 15° to 90°, by intensity)
| 2theta | I_rel |
| --- | --- |
| 26.6 | 100.0 |
| 19.5 | 37.5 |
| 37.3 | 31.3 |
| 45.8 | 26.2 |
| 31.5 | 23.8 |
| 15.5 | 18.2 |
| 38.8 | 16.2 |
| 25.6 | 13.9 |

Structure:
```
data_Rb2SnBS4
_space_group_name_H-M_alt 'P 1'
_space_group_IT_number 1
_space_group_name_Hall 'P 1'
_cell_length_a 13.404
_cell_length_b 11.865
_cell_length_c 7.629
_cell_angle_alpha 83.87
_cell_angle_beta 61.66
_cell_angle_gamma 34.47
loop_
_atom_site_label
_atom_site_type_symbol
_atom_site_fract_x
_atom_site_fract_y
_atom_site_fract_z
Rb1 Rb 0.055 0.055 0.695
Rb2 Rb 0.305 0.305 0.945
Rb3 Rb 0.695 0.695 0.055
Rb4 Rb 0.945 0.945 0.305
Sn1 Sn 0.375 0.375 0.375
Sn2 Sn 0.625 0.625 0.625
B1 B 0.125 0.125 0.125
B2 B 0.875 0.875 0.875
S1 S 0.080 0.268 0.339
S2 S 0.187 0.661 0.732
S3 S 0.268 0.080 0.813
S4 S 0.339 0.813 0.080
S5 S 0.661 0.187 0.920
S6 S 0.732 0.920 0.187
S7 S 0.813 0.339 0.268
S8 S 0.920 0.732 0.661
```

[4]
Computed powder diffraction line list of AlAgF2 for a wavelength of 1.5418 Å, from a structure optimized by DFT (GGA-PBE).
Intensities are scaled so that the largest is 100.

Peak list (8 most intense, 2θ from 15° to 90°, by intensity)
| 2theta | I_rel |
| --- | --- |
| 30.8 | 100.0 |
| 36.3 | 42.0 |
| 54.9 | 36.8 |
| 89.4 | 18.5 |
| 64.3 | 17.1 |
| 18.7 | 17.0 |
| 73.0 | 15.3 |
| 58.5 | 12.2 |

Structure:
```
data_AlAgF2
_space_group_name_H-M_alt 'P 1'
_space_group_IT_number 1
_space_group_name_Hall 'P 1'
_cell_length_a 5.798
_cell_length_b 5.798
_cell_length_c 5.798
_cell_angle_alpha 60.00
_cell_angle_beta 60.00
_cell_angle_gamma 60.00
loop_
_atom_site_label
_atom_site_type_symbol
_atom_site_fract_x
_atom_site_fract_y
_atom_site_fract_z
Al1 Al 0.125 0.125 0.125
Al2 Al 0.875 0.875 0.875
Ag1 Ag 0.375 0.375 0.375
Ag2 Ag 0.625 0.625 0.625
F1 F 0.000 0.000 0.000
F2 F 0.000 0.000 0.500
F3 F 0.000 0.500 0.000
F4 F 0.500 0.000 0.000
```